Theoretical XRD peak list of YTmHg2 for Cu Kα (weighted mean of Kα1 and Kα2), from a GGA-PBE-relaxed structure.

```
data_YTmHg2
_chemical_formula_sum 'Y4 Tm4 Hg8'
_cell_length_a 7.416
_cell_length_b 7.416
_cell_length_c 7.416
_cell_angle_alpha 90.00
_cell_angle_beta 90.00
_cell_angle_gamma 90.00
_symmetry_space_group_name_H-M 'F m -3 m'
_symmetry_Int_Tables_number 225
_symmetry_space_group_name_Hall '-F 4 2 3'
loop_
_atom_site_label
_atom_site_type_symbol
_atom_site_fract_x
_atom_site_fract_y
_atom_site_fract_z
_atom_site_occupancy
Y1 Y 0.000 0.000 0.000 1
Tm1 Tm 0.000 0.000 0.500 1
Hg1 Hg 0.250 0.250 0.250 1
```

Peak list (6 most intense, 2θ from 15° to 90°, low angle first)
d = 3.708 Å, 2θ 24.00, I 5.3; d = 2.622 Å, 2θ 34.20, I 100.0; d = 1.854 Å, 2θ 49.14, I 18.2; d = 1.514 Å, 2θ 61.23, I 37.7; d = 1.311 Å, 2θ 72.04, I 11.7; d = 1.173 Å, 2θ 82.22, I 16.8


Theoretical XRD peak list of CeZr4O10 for Cu Kα (weighted mean of Kα1 and Kα2), from a GGA-PBE-relaxed structure.

```
data_CeZr4O10
_chemical_formula_sum 'Ce2 Zr8 O20'
_cell_length_a 3.682
_cell_length_b 3.682
_cell_length_c 26.145
_cell_angle_alpha 90.00
_cell_angle_beta 90.00
_cell_angle_gamma 90.00
_symmetry_space_group_name_H-M 'I 4/m m m'
_symmetry_Int_Tables_number 139
_symmetry_space_group_name_Hall '-I 4 2'
loop_
_atom_site_label
_atom_site_type_symbol
_atom_site_fract_x
_atom_site_fract_y
_atom_site_fract_z
_atom_site_occupancy
Ce1 Ce 0.000 0.000 0.000 1
Zr1 Zr 0.000 0.000 0.201 1
Zr2 Zr 0.000 0.000 0.397 1
O1 O 0.000 0.500 0.054 1
O2 O 0.000 0.500 0.152 1
O3 O 0.000 0.500 0.250 1
```

Peak list (6 most intense, 2θ from 15° to 90°, low angle first)
d = 3.010 Å, 2θ 29.68, I 100.0; d = 2.603 Å, 2θ 34.45, I 15.1; d = 1.845 Å, 2θ 49.40, I 38.6; d = 1.841 Å, 2θ 49.52, I 19.5; d = 1.575 Å, 2θ 58.60, I 13.6; d = 1.570 Å, 2θ 58.80, I 27.7


Theoretical XRD peak list of YPaTc2 for Cu Kα (weighted mean of Kα1 and Kα2), from a GGA-PBE-relaxed structure.

```
data_YPaTc2
_chemical_formula_sum 'Y4 Pa4 Tc8'
_cell_length_a 6.866
_cell_length_b 6.866
_cell_length_c 6.866
_cell_angle_alpha 90.00
_cell_angle_beta 90.00
_cell_angle_gamma 90.00
_symmetry_space_group_name_H-M 'F m -3 m'
_symmetry_Int_Tables_number 225
_symmetry_space_group_name_Hall '-F 4 2 3'
loop_
_atom_site_label
_atom_site_type_symbol
_atom_site_fract_x
_atom_site_fract_y
_atom_site_fract_z
_atom_site_occupancy
Y1 Y 0.000 0.000 0.000 1
Pa1 Pa 0.000 0.000 0.500 1
Tc1 Tc 0.250 0.250 0.250 1
```

Peak list (6 most intense, 2θ from 15° to 90°, low angle first)
d = 3.964 Å, 2θ 22.43, I 15.4; d = 2.428 Å, 2θ 37.03, I 100.0; d = 2.070 Å, 2θ 43.72, I 8.9; d = 1.717 Å, 2θ 53.37, I 17.4; d = 1.402 Å, 2θ 66.74, I 35.4; d = 1.214 Å, 2θ 78.86, I 11.0


Theoretical XRD peak list of YZn12 for Cu Kα (weighted mean of Kα1 and Kα2), from a GGA-PBE-relaxed structure.

```
data_YZn12
_chemical_formula_sum 'Y2 Zn24'
_cell_length_a 8.911
_cell_length_b 8.911
_cell_length_c 5.198
_cell_angle_alpha 90.00
_cell_angle_beta 90.00
_cell_angle_gamma 90.00
_symmetry_space_group_name_H-M 'I 4/m m m'
_symmetry_Int_Tables_number 139
_symmetry_space_group_name_Hall '-I 4 2'
loop_
_atom_site_label
_atom_site_type_symbol
_atom_site_fract_x
_atom_site_fract_y
_atom_site_fract_z
_atom_site_occupancy
Y1 Y 0.000 0.000 0.000 1
Zn1 Zn 0.000 0.216 0.500 1
Zn2 Zn 0.000 0.355 0.000 1
Zn3 Zn 0.250 0.250 0.250 1
```

Peak list (6 most intense, 2θ from 15° to 90°, low angle first)
d = 2.579 Å, 2θ 34.79, I 27.7; d = 2.245 Å, 2θ 40.17, I 48.1; d = 2.230 Å, 2θ 40.44, I 100.0; d = 2.005 Å, 2θ 45.23, I 38.5; d = 1.994 Å, 2θ 45.49, I 37.3; d = 1.289 Å, 2θ 73.44, I 15.5


Theoretical XRD peak list of Eu8In3 for Cu Kα (weighted mean of Kα1 and Kα2), from a GGA-PBE-relaxed structure.

```
data_Eu8In3
_chemical_formula_sum 'Eu16 In6'
_cell_length_a 9.927
_cell_length_b 9.980
_cell_length_c 10.075
_cell_angle_alpha 99.13
_cell_angle_beta 101.19
_cell_angle_gamma 119.48
_symmetry_space_group_name_H-M 'P -1'
_symmetry_Int_Tables_number 2
loop_
_symmetry_equiv_pos_as_xyz
'x,y,z'
'-x,-y,-z'
loop_
_atom_site_label
_atom_site_type_symbol
_atom_site_fract_x
_atom_site_fract_y
_atom_site_fract_z
_atom_site_occupancy
Eu1 Eu 0.035 0.201 0.148 1
Eu2 Eu 0.037 0.206 0.793 1
Eu3 Eu 0.167 0.621 0.387 1
Eu4 Eu 0.203 0.000 0.614 1
Eu5 Eu 0.270 0.655 0.796 1
Eu6 Eu 0.379 0.899 0.145 1
Eu7 Eu 0.423 0.271 0.393 1
Eu8 Eu 0.459 0.561 0.170 1
In1 In 0.000 0.500 0.000 1
In2 In 0.174 0.338 0.526 1
In3 In 0.328 0.163 0.999 1
In4 In 0.500 0.000 0.500 1
```

Peak list (6 most intense, 2θ from 15° to 90°, low angle first)
d = 3.215 Å, 2θ 27.75, I 21.5; d = 3.145 Å, 2θ 28.38, I 32.0; d = 2.923 Å, 2θ 30.59, I 58.4; d = 2.896 Å, 2θ 30.88, I 40.6; d = 2.875 Å, 2θ 31.10, I 100.0; d = 2.865 Å, 2θ 31.22, I 99.9


Theoretical XRD peak list of CuAgPO4 for Cu Kα (weighted mean of Kα1 and Kα2), from a GGA-PBE-relaxed structure.

```
data_CuAgPO4
_chemical_formula_sum 'Cu4 Ag4 P4 O16'
_cell_length_a 7.918
_cell_length_b 5.620
_cell_length_c 7.740
_cell_angle_alpha 90.00
_cell_angle_beta 98.21
_cell_angle_gamma 90.00
_symmetry_space_group_name_H-M 'P 1 21/c 1'
_symmetry_Int_Tables_number 14
loop_
_symmetry_equiv_pos_as_xyz
'x,y,z'
'-x,-y,-z'
'-x,y+1/2,-z+1/2'
'x,-y+1/2,z+1/2'
loop_
_atom_site_label
_atom_site_type_symbol
_atom_site_fract_x
_atom_site_fract_y
_atom_site_fract_z
_atom_site_occupancy
Cu1 Cu 0.090 0.122 0.353 1
Ag1 Ag 0.430 0.114 0.693 1
P1 P 0.227 0.620 0.508 1
O1 O 0.074 0.692 0.986 1
O2 O 0.193 0.053 0.848 1
O3 O 0.233 0.016 0.183 1
O4 O 0.398 0.749 0.010 1
```

Peak list (6 most intense, 2θ from 15° to 90°, low angle first)
d = 2.958 Å, 2θ 30.21, I 73.1; d = 2.847 Å, 2θ 31.42, I 97.8; d = 2.821 Å, 2θ 31.71, I 82.6; d = 2.538 Å, 2θ 35.36, I 100.0; d = 1.856 Å, 2θ 49.08, I 31.9; d = 1.821 Å, 2θ 50.09, I 28.9


Theoretical XRD peak list of CdAsPd5 for Cu Kα (weighted mean of Kα1 and Kα2), from a GGA-PBE-relaxed structure.

```
data_CdAsPd5
_chemical_formula_sum 'Cd1 As1 Pd5'
_cell_length_a 4.033
_cell_length_b 4.033
_cell_length_c 7.169
_cell_angle_alpha 90.00
_cell_angle_beta 90.00
_cell_angle_gamma 90.00
_symmetry_space_group_name_H-M 'P 4/m m m'
_symmetry_Int_Tables_number 123
_symmetry_space_group_name_Hall '-P 4 2'
loop_
_atom_site_label
_atom_site_type_symbol
_atom_site_fract_x
_atom_site_fract_y
_atom_site_fract_z
_atom_site_occupancy
Cd1 Cd 0.000 0.000 0.000 1
As1 As 0.500 0.500 0.500 1
Pd1 Pd 0.000 0.500 0.290 1
Pd2 Pd 0.500 0.500 0.000 1
```

Peak list (6 most intense, 2θ from 15° to 90°, low angle first)
d = 2.650 Å, 2θ 33.83, I 23.2; d = 2.390 Å, 2θ 37.64, I 13.1; d = 2.232 Å, 2θ 40.42, I 100.0; d = 2.017 Å, 2θ 44.95, I 42.9; d = 1.426 Å, 2θ 65.45, I 13.6; d = 1.202 Å, 2θ 79.82, I 26.3